Record 1
The following is a calculated powder diffraction line list of Pm16Dy6Tm7. It was derived from a structure optimized by DFT (PBE), using Cu Kα (weighted mean of Kα1 and Kα2).
No peak broadening, texture or thermal motion is included.

Structural model:
a = 11.228 Å, b = 11.228 Å, c = 11.228 Å
α = 60.00°, β = 60.00°, γ = 60.00°
Positions (direct):
Pm (0.052, 0.649, 0.649)
Pm (0.125, 0.125, 0.125)
Pm (0.125, 0.125, 0.626)
Pm (0.125, 0.626, 0.125)
Pm (0.351, 0.351, 0.351)
Pm (0.351, 0.351, 0.948)
Pm (0.351, 0.948, 0.351)
Pm (0.374, 0.875, 0.875)
Pm (0.626, 0.125, 0.125)
Pm (0.649, 0.052, 0.649)
Pm (0.649, 0.649, 0.052)
Pm (0.649, 0.649, 0.649)
Pm (0.875, 0.374, 0.875)
Pm (0.875, 0.875, 0.374)
Pm (0.875, 0.875, 0.875)
Pm (0.948, 0.351, 0.351)
Dy (0.267, 0.267, 0.733)
Dy (0.267, 0.733, 0.267)
Dy (0.267, 0.733, 0.733)
Dy (0.733, 0.267, 0.267)
Dy (0.733, 0.267, 0.733)
Dy (0.733, 0.733, 0.267)
Tm (0.000, 0.000, 0.000)
Tm (0.000, 0.000, 0.500)
Tm (0.000, 0.500, 0.000)
Tm (0.000, 0.500, 0.500)
Tm (0.500, 0.000, 0.000)
Tm (0.500, 0.000, 0.500)
Tm (0.500, 0.500, 0.000)

Top 10 peaks for 2θ from 10° to 80°, by angle:
- 27.5°, intensity 62
- 29.2°, intensity 93
- 31.9°, intensity 1000
- 33.4°, intensity 49
- 43.8°, intensity 59
- 45.7°, intensity 147
- 56.8°, intensity 277
- 60.3°, intensity 56
- 66.6°, intensity 77
- 75.8°, intensity 80

=====

Record 2
The following is a calculated powder diffraction line list of Pm4Dy8Tm. It was derived from a structure optimized by DFT (PBE), using Cu Kα (weighted mean of Kα1 and Kα2).
No peak broadening, texture or thermal motion is included.

Structural model:
a = 7.781 Å, b = 7.781 Å, c = 7.781 Å
α = 90.08°, β = 90.08°, γ = 90.08°
Positions (direct):
Pm (0.000, 0.000, 0.000)
Pm (0.000, 0.500, 0.500)
Pm (0.500, 0.000, 0.500)
Pm (0.500, 0.500, 0.000)
Dy (0.240, 0.240, 0.240)
Dy (0.240, 0.240, 0.759)
Dy (0.240, 0.759, 0.240)
Dy (0.241, 0.760, 0.760)
Dy (0.759, 0.240, 0.240)
Dy (0.760, 0.241, 0.760)
Dy (0.760, 0.760, 0.241)
Dy (0.760, 0.760, 0.760)
Tm (0.500, 0.500, 0.500)

Top 10 peaks for 2θ from 10° to 80°, by angle:
- 19.8°, intensity 101
- 22.9°, intensity 79
- 32.5°, intensity 1000
- 38.4°, intensity 55
- 46.7°, intensity 181
- 58.0°, intensity 279
- 58.1°, intensity 92
- 68.1°, intensity 57
- 68.2°, intensity 56
- 77.6°, intensity 153

=====

Record 3
The following is a calculated powder diffraction line list of Pm5Dy3Tm4. It was derived from a structure optimized by DFT (PBE), using Cu Kα (weighted mean of Kα1 and Kα2).
No peak broadening, texture or thermal motion is included.

Structural model:
a = 6.856 Å, b = 6.856 Å, c = 11.031 Å
α = 95.94°, β = 95.94°, γ = 49.38°
Positions (direct):
Pm (0.000, 0.000, 0.000)
Pm (0.355, 0.355, 0.729)
Pm (0.399, 0.399, 0.410)
Pm (0.601, 0.601, 0.590)
Pm (0.645, 0.645, 0.271)
Dy (0.256, 0.256, 0.111)
Dy (0.500, 0.500, 0.000)
Dy (0.744, 0.744, 0.889)
Tm (0.077, 0.077, 0.755)
Tm (0.146, 0.146, 0.454)
Tm (0.854, 0.854, 0.546)
Tm (0.923, 0.923, 0.245)

Top 10 peaks for 2θ from 10° to 80°, by angle:
- 28.6°, intensity 311
- 29.2°, intensity 385
- 30.0°, intensity 826
- 30.6°, intensity 990
- 30.9°, intensity 761
- 31.2°, intensity 1000
- 34.6°, intensity 286
- 44.5°, intensity 561
- 54.0°, intensity 183
- 55.2°, intensity 380